# 1
Diffraction record for KBa3Bi4O12. The powder diffraction line list is theoretical, not measured: it uses the PBE geometry in the Materials Project and a wavelength of 1.5418 Å.
No peak broadening, texture or thermal motion is included.

Peak list (12 most intense, 10 to 90 degrees two-theta, low angle first)
2θ/deg	Rel. int.	(hkl)
20.2	24.8	1 0 1
28.6	25.1	0 0 2
28.8	100.0	1 2 1
28.9	24.7	2 0 0
41.1	28.3	2 0 2
41.3	13.8	0 4 0
50.7	22.2	1 2 3
51.0	10.8	0 4 2
51.2	31.9	2 4 0
59.7	17.9	2 4 2
67.7	14.0	1 6 1
82.5	11.4	4 4 2

```
data_KBa3Bi4O12
_chemical_formula_sum 'K1 Ba3 Bi4 O12'
_cell_length_a 6.174
_cell_length_b 8.751
_cell_length_c 6.250
_cell_angle_alpha 90.00
_cell_angle_beta 90.00
_cell_angle_gamma 90.00
_symmetry_space_group_name_H-M 'P m m 2'
_symmetry_Int_Tables_number 25
loop_
_symmetry_equiv_pos_as_xyz
'x,y,z'
'-x,-y,z'
'-x,y,z'
'x,-y,z'
loop_
_atom_site_label
_atom_site_type_symbol
_atom_site_fract_x
_atom_site_fract_y
_atom_site_fract_z
K1 K 0.000 0.000 0.000
Ba1 Ba 0.000 0.500 0.005
Ba2 Ba 0.500 0.000 0.504
Ba3 Ba 0.500 0.500 0.508
Bi1 Bi 0.000 0.248 0.503
Bi2 Bi 0.500 0.248 0.004
O1 O 0.000 0.000 0.461
O2 O 0.000 0.500 0.549
O3 O 0.250 0.279 0.261
O4 O 0.253 0.237 0.742
O5 O 0.500 0.000 0.047
O6 O 0.500 0.500 0.967
```

# 2
Diffraction record for K2BaBi3O9. The powder diffraction line list is theoretical, not measured: it uses the PBE geometry in the Materials Project and a wavelength of 1.5418 Å.
No peak broadening, texture or thermal motion is included.

Peak list (12 most intense, 10 to 90 degrees two-theta, low angle first)
2θ/deg	Rel. int.	(hkl)
20.6	40.6	1 0 1
29.3	100.0	1 1 0
36.0	4.7	0 0 3
41.8	29.9	2 0 2
47.1	19.7	2 1 1
51.9	42.3	1 2 2
60.7	18.9	2 2 0
64.8	9.6	0 3 3
68.8	18.7	3 1 2
76.4	6.4	0 4 2
80.2	4.4	3 2 1
83.8	22.6	4 1 0

```
data_K2BaBi3O9
_chemical_formula_sum 'K2 Ba1 Bi3 O9'
_cell_length_a 6.1044
_cell_length_b 6.1044
_cell_length_c 7.4811
_cell_angle_alpha 90.00
_cell_angle_beta 90.00
_cell_angle_gamma 120.00
_symmetry_space_group_name_H-M 'P -3 m 1'
_symmetry_Int_Tables_number 164
_symmetry_space_group_name_Hall '-P 3 2"'
loop_
_atom_site_label
_atom_site_type_symbol
_atom_site_fract_x
_atom_site_fract_y
_atom_site_fract_z
K1 K 0.3333 0.6667 0.1652
Ba1 Ba 0.0000 0.0000 0.5000
Bi1 Bi 0.0000 0.0000 0.0000
Bi2 Bi 0.3333 0.6667 0.6696
O1 O 0.0000 0.5000 0.5000
O2 O 0.1610 0.3221 0.8227
```

# 3
Diffraction record for KBa2SmBi2O9. The powder diffraction line list is theoretical, not measured: it uses the PBE geometry in the Materials Project and a wavelength of 1.5418 Å.
No peak broadening, texture or thermal motion is included.

Peak list (12 most intense, 10 to 90 degrees two-theta, low angle first)
2θ/deg	Rel. int.	(hkl)
10.3	72.9	0 0 1
26.1	82.4	1 0 2
27.5	100.0	1 1 0
29.5	24.8	1 1 1
35.2	32.0	1 0 3
38.3	44.2	0 2 2
45.2	25.7	0 2 3
47.8	38.3	2 1 2
48.7	19.8	3 0 0
53.8	29.1	2 1 3
56.8	16.5	2 2 0
63.6	16.3	1 3 2

```
data_KBa2SmBi2O9
_chemical_formula_sum 'K1 Ba2 Sm1 Bi2 O9'
_cell_length_a 6.4797
_cell_length_b 6.4797
_cell_length_c 8.5963
_cell_angle_alpha 90.00
_cell_angle_beta 90.00
_cell_angle_gamma 120.00
_symmetry_space_group_name_H-M 'P -3 m 1'
_symmetry_Int_Tables_number 164
_symmetry_space_group_name_Hall '-P 3 2"'
loop_
_atom_site_label
_atom_site_type_symbol
_atom_site_fract_x
_atom_site_fract_y
_atom_site_fract_z
K1 K 0.0000 0.0000 0.0000
Ba1 Ba 0.3333 0.6667 0.7760
Sm1 Sm 0.0000 0.0000 0.5000
Bi1 Bi 0.3333 0.6667 0.3664
O1 O 0.0000 0.5000 0.5000
O2 O 0.1231 0.2462 0.7318
```

# 4
Diffraction record for KBaTbBiO6. The powder diffraction line list is theoretical, not measured: it uses the PBE geometry in the Materials Project and a wavelength of 1.5418 Å.
No peak broadening, texture or thermal motion is included.

Peak list (12 most intense, 10 to 90 degrees two-theta, low angle first)
2θ/deg	Rel. int.	(hkl)
17.6	9.2	1 1 1
20.3	23.4	2 0 0
28.9	100.0	2 2 0
34.0	5.5	3 1 1
41.3	30.1	4 0 0
46.4	11.2	4 2 0
51.2	41.8	4 2 2
59.8	19.2	4 4 0
63.9	5.4	6 0 0
67.8	18.5	6 2 0
75.3	6.4	4 4 4
82.6	22.1	6 4 2

```
data_KBaTbBiO6
_chemical_formula_sum 'K4 Ba4 Tb4 Bi4 O24'
_cell_length_a 8.743
_cell_length_b 8.743
_cell_length_c 8.743
_cell_angle_alpha 90.00
_cell_angle_beta 90.00
_cell_angle_gamma 90.00
_symmetry_space_group_name_H-M 'F -4 3 m'
_symmetry_Int_Tables_number 216
_symmetry_space_group_name_Hall 'F -4 2 3'
loop_
_atom_site_label
_atom_site_type_symbol
_atom_site_fract_x
_atom_site_fract_y
_atom_site_fract_z
K1 K 0.000 0.000 0.000
Ba1 Ba 0.000 0.000 0.500
Tb1 Tb 0.250 0.250 0.750
Bi1 Bi 0.250 0.250 0.250
O1 O 0.007 0.250 0.250
```

# 5
Diffraction record for KBaTbBiO6. The powder diffraction line list is theoretical, not measured: it uses the PBE geometry in the Materials Project and a wavelength of 1.5418 Å.
No peak broadening, texture or thermal motion is included.

Peak list (12 most intense, 10 to 90 degrees two-theta, low angle first)
2θ/deg	Rel. int.	(hkl)
20.3	15.4	0 2 0
20.4	7.7	2 0 0
28.9	100.0	2 2 0
41.3	19.8	0 4 0
41.5	9.9	4 0 0
46.4	7.4	2 0 4
51.2	28.6	2 2 4
51.3	13.9	4 2 2
60.0	12.5	4 4 0
67.8	9.3	2 0 6
82.6	11.2	2 4 6
82.8	7.5	6 2 4

```
data_KBaTbBiO6
_chemical_formula_sum 'K4 Ba4 Tb4 Bi4 O24'
_cell_length_a 8.709
_cell_length_b 8.742
_cell_length_c 8.752
_cell_angle_alpha 90.00
_cell_angle_beta 90.00
_cell_angle_gamma 90.00
_symmetry_space_group_name_H-M 'P n n n'
_symmetry_Int_Tables_number 48
loop_
_symmetry_equiv_pos_as_xyz
'x,y,z'
'-x,-y,-z'
'-x+1/2,-y+1/2,z'
'x+1/2,y+1/2,-z'
'x,-y+1/2,-z+1/2'
'-x,y+1/2,z+1/2'
'-x+1/2,y,-z+1/2'
'x+1/2,-y,z+1/2'
loop_
_atom_site_label
_atom_site_type_symbol
_atom_site_fract_x
_atom_site_fract_y
_atom_site_fract_z
K1 K 0.250 0.250 0.250
K2 K 0.250 0.750 0.250
Ba1 Ba 0.250 0.250 0.750
Ba2 Ba 0.250 0.750 0.750
Tb1 Tb 0.000 0.000 0.000
Bi1 Bi 0.000 0.000 0.500
O1 O 0.004 0.016 0.257
O2 O 0.014 0.743 0.014
O3 O 0.243 0.013 0.525
```

# 6
Diffraction record for BaSrLaBiO6. The powder diffraction line list is theoretical, not measured: it uses the PBE geometry in the Materials Project and a wavelength of 1.5418 Å.
No peak broadening, texture or thermal motion is included.

Peak list (12 most intense, 10 to 90 degrees two-theta, low angle first)
2θ/deg	Rel. int.	(hkl)
17.4	4.3	1 1 1
20.1	9.3	2 0 0
28.6	100.0	2 0 2
33.7	2.0	3 1 1
40.9	27.0	4 0 0
46.0	4.4	0 4 2
50.7	45.5	4 2 2
59.3	16.6	4 4 0
63.3	1.8	4 4 2
67.1	18.9	0 6 2
74.5	5.4	4 4 4
81.7	23.1	4 6 2

```
data_BaSrLaBiO6
_chemical_formula_sum 'Ba4 Sr4 La4 Bi4 O24'
_cell_length_a 8.817
_cell_length_b 8.817
_cell_length_c 8.826
_cell_angle_alpha 90.00
_cell_angle_beta 90.00
_cell_angle_gamma 90.00
_symmetry_space_group_name_H-M 'P 2 2 2'
_symmetry_Int_Tables_number 16
loop_
_symmetry_equiv_pos_as_xyz
'x,y,z'
'-x,-y,z'
'x,-y,-z'
'-x,y,-z'
loop_
_atom_site_label
_atom_site_type_symbol
_atom_site_fract_x
_atom_site_fract_y
_atom_site_fract_z
Ba1 Ba 0.000 0.000 0.000
Ba2 Ba 0.000 0.000 0.500
Ba3 Ba 0.500 0.000 0.000
Ba4 Ba 0.500 0.500 0.000
Sr1 Sr 0.000 0.500 0.000
Sr2 Sr 0.000 0.500 0.500
Sr3 Sr 0.500 0.000 0.500
Sr4 Sr 0.500 0.500 0.500
La1 La 0.250 0.252 0.253
Bi1 Bi 0.250 0.253 0.746
O1 O 0.014 0.290 0.703
O2 O 0.212 0.295 0.985
O3 O 0.216 0.014 0.778
O4 O 0.289 0.206 0.511
O5 O 0.293 0.489 0.706
O6 O 0.488 0.224 0.787
```